# Dy4HgRh
Theoretical powder XRD pattern, Cu Kα (λ = 1.5418 Å). Input: DFT lattice parameters and positions (GGA-PBE).

Structural model:
Cell: 9.5720 9.5720 9.5720 Å, 60.00 60.00 60.00°
Fractional positions:
Dy (0.0605, 0.0605, 0.4395)
Dy (0.0605, 0.4395, 0.0605)
Dy (0.0605, 0.4395, 0.4395)
Dy (0.1868, 0.1868, 0.8132)
Dy (0.1868, 0.8132, 0.1868)
Dy (0.1868, 0.8132, 0.8132)
Dy (0.1954, 0.6015, 0.6015)
Dy (0.4395, 0.0605, 0.0605)
Dy (0.4395, 0.0605, 0.4395)
Dy (0.4395, 0.4395, 0.0605)
Dy (0.6015, 0.1954, 0.6015)
Dy (0.6015, 0.6015, 0.1954)
Dy (0.6015, 0.6015, 0.6015)
Dy (0.8132, 0.1868, 0.1868)
Dy (0.8132, 0.1868, 0.8132)
Dy (0.8132, 0.8132, 0.1868)
Hg (0.4954, 0.8349, 0.8349)
Hg (0.8349, 0.4954, 0.8349)
Hg (0.8349, 0.8349, 0.4954)
Hg (0.8349, 0.8349, 0.8349)
Rh (0.3929, 0.3929, 0.3929)
Rh (0.3929, 0.3929, 0.8212)
Rh (0.3929, 0.8212, 0.3929)
Rh (0.8212, 0.3929, 0.3929)

Largest 8 diffraction maxima, in order of rising 2θ, 2θ = 5–70°:
two_theta	d_spacing	I (rel.)
28.75	3.106	16
32.40	2.763	49
34.43	2.605	100
37.59	2.393	29
51.88	1.762	9
57.79	1.595	44
59.10	1.563	13
69.03	1.361	18